# CoRh2Se
Simulated X-ray powder pattern, a wavelength of 1.5418 Å. Input: a cell relaxed with PBE.
Neutral-atom scattering factors, no anomalous dispersion.

Structure:
Cell lengths 4.657, 4.657, 4.657 Å; angles 130.61, 130.61, 72.43 degrees
Atoms (fractional coordinates):
Co 0.000 0.000 0.000
Rh 0.250 0.750 0.500
Rh 0.500 0.500 0.000
Se 0.750 0.250 0.500

Top 10 peaks for 10° ≤ 2θ ≤ 80°, in order of rising 2θ:
2theta, I (rel.)
25.79, 7
40.65, 100
42.95, 2
46.69, 33
48.46, 15
54.10, 2
65.30, 1
66.73, 1
68.17, 10
69.57, 19